The following is a calculated powder diffractogram of CaCoP2O7. It was derived from a DFT-relaxed cell (GGA+U, the Materials Project), using a wavelength of 1.5418 Å.

```
CaCoP2O7
1.0
7.3783 0.0000 0.0000
0.0000 8.7788 0.0000
-4.1385 0.0000 8.2114
Ca Co P O
4 4 8 28
Cartesian
0.1359 0.4468 3.0907
-1.9334 3.9425 7.1964
5.1732 4.8362 1.0150
3.1040 8.3319 5.1207
-1.6717 0.5902 7.2733
0.3976 3.7991 3.1676
2.8423 4.9796 5.0438
4.9115 8.1885 0.9381
-3.7749 6.5589 7.9215
-1.7057 6.6092 3.8158
2.2486 6.3777 2.1655
0.1794 6.7904 6.2712
3.0605 1.9884 1.9402
0.9912 2.4010 6.0459
4.9455 2.1695 4.3956
7.0148 2.2199 0.2899
-2.4557 0.9598 5.3510
-0.3865 3.4296 1.2453
-1.1412 5.3278 3.2039
-3.2104 7.8403 7.3096
-3.1303 2.0453 7.8480
-1.0611 2.3441 3.7423
1.3573 5.9844 0.8613
-0.7119 7.1838 4.9670
1.6419 2.0996 2.5015
-0.4274 2.2898 6.6072
-0.3136 5.5112 6.9327
1.7556 7.6570 2.8270
2.0457 5.1361 3.0713
-0.0236 8.0320 7.1770
3.2634 0.7467 1.0344
1.1942 3.6426 5.1401
1.4842 1.1218 5.3844
3.5535 3.2676 1.2787
3.6672 6.4890 1.6042
1.5980 6.6791 5.7099
3.9518 1.5950 3.2444
1.8825 2.7944 7.3501
4.3009 6.4346 4.4691
6.3702 6.7335 0.3634
6.4503 0.9384 0.9018
4.3810 3.4509 5.0075
3.6263 5.3492 6.9661
5.6956 7.8189 2.8604
```

Largest 10 diffraction maxima, by angle, 15 to 90 degrees two-theta:
| 2θ/deg | I (rel.) |
| --- | --- |
| 27.91 | 53 |
| 28.36 | 100 |
| 30.40 | 72 |
| 33.51 | 19 |
| 34.03 | 32 |
| 40.51 | 26 |
| 48.99 | 16 |
| 52.04 | 15 |
| 55.25 | 19 |
| 69.24 | 14 |

=====

The following is a calculated powder diffractogram of CaCoP4O12. It was derived from a DFT-relaxed cell (GGA+U, the Materials Project), using a wavelength of 1.5418 Å.

```
CaCoP4O12
1.0
6.1244 -4.3830 0.0000
6.1244 4.3830 0.0000
-4.7940 0.0000 9.0286
Ca Co P O
2 2 8 24
Cartesian
2.5289 3.9701 6.7715
4.9259 -3.9701 2.2572
0.6652 2.1915 4.5143
3.0622 -2.1915 0.0000
5.9596 1.9501 0.2214
3.8921 1.9501 4.2929
-0.0520 0.0601 7.2659
2.3450 -0.0601 2.7516
5.1098 0.0601 6.2770
7.5068 -0.0601 1.7627
3.5627 -1.9501 4.7357
1.4951 -1.9501 8.8072
5.3272 3.1590 0.7947
1.0499 0.6965 2.9898
4.5246 3.1590 3.7196
0.1804 0.6716 5.9303
2.6556 2.1438 5.1594
0.0249 1.1834 8.4229
-1.3471 -0.6965 7.5041
2.4022 2.1438 8.3835
3.5759 0.9246 3.0990
2.5774 -0.6716 1.4160
6.2758 0.9246 1.4153
5.0328 1.1834 5.1200
2.4219 -1.1834 3.9086
1.1789 -0.9246 7.6133
4.8774 0.6716 7.6126
3.8788 -0.9246 5.9296
5.0526 -2.1438 0.6451
8.8019 0.6965 1.5245
7.4298 -1.1834 0.6057
4.7992 -2.1438 3.8692
7.2744 -0.6716 3.0983
2.9302 -3.1590 5.3090
6.4049 -0.6965 6.0388
2.1276 -3.1590 8.2339
```

Largest 10 diffraction maxima, by angle, 15 to 90 degrees two-theta:
| 2θ/deg | I (rel.) |
| --- | --- |
| 18.49 | 24 |
| 20.14 | 31 |
| 24.11 | 24 |
| 25.41 | 22 |
| 26.73 | 26 |
| 28.38 | 100 |
| 30.16 | 21 |
| 33.12 | 22 |
| 36.04 | 19 |
| 41.11 | 22 |

=====

The following is a calculated powder diffractogram of CaTiCoP3O12. It was derived from a DFT-relaxed cell (GGA+U, the Materials Project), using a wavelength of 1.5418 Å.

```
CaTiCoP3O12
1.0
4.3143 2.4908 7.2607
-4.3143 2.4908 7.2607
0.0000 -4.9817 7.2607
Ca Ti Co P O
2 2 2 6 24
Cartesian
0.0000 0.0000 0.0000
0.0000 0.0000 10.8910
0.0000 0.0000 3.2549
0.0000 0.0000 14.1459
0.0000 0.0000 7.7382
0.0000 0.0000 18.6292
-1.8202 -2.4848 9.1562
-3.0724 0.3279 12.7865
-1.2419 2.8187 9.1562
1.2522 -2.8247 12.7865
3.0620 -0.3339 9.1562
1.8202 2.4968 12.7865
-1.6050 -0.1032 4.2492
-2.6403 -2.3814 10.4400
-0.9409 -3.7706 9.1436
-3.6966 -1.0762 12.7435
-1.6740 0.1094 6.8097
0.8918 -1.3384 4.2492
-0.9163 -1.2422 9.1132
-2.7949 2.7001 9.1436
0.7422 -1.5044 6.8097
0.7132 1.4415 4.2492
-1.5193 0.2093 12.7739
-0.6176 1.4146 9.1131
-0.8918 -1.3384 15.1402
0.9318 1.3950 6.8097
0.5784 -1.4204 12.7739
1.5339 -0.1724 9.1131
-0.7422 3.4773 10.4400
-0.7132 1.4415 15.1402
2.7804 -2.6633 12.7435
0.9409 1.2111 12.7739
3.3825 -1.0959 10.4400
1.6050 -0.1032 15.1402
3.7358 1.0704 9.1436
0.9163 3.7395 12.7435
```

Largest 10 diffraction maxima, by angle, 15 to 90 degrees two-theta:
| 2θ/deg | I (rel.) |
| --- | --- |
| 20.18 | 16 |
| 20.59 | 61 |
| 23.99 | 100 |
| 28.98 | 17 |
| 31.95 | 16 |
| 32.23 | 68 |
| 36.06 | 26 |
| 46.32 | 19 |
| 49.13 | 24 |
| 56.43 | 19 |

=====

The following is a calculated powder diffractogram of Ca3Co2Rh2O12. It was derived from a DFT-relaxed cell (GGA+U, the Materials Project), using a wavelength of 1.5418 Å.

```
Ca3Co2Rh2O12
1.0
6.3337 0.0000 0.0000
-0.3803 6.3628 0.0000
-0.3576 -0.3113 6.4585
Ca Co Rh O
3 2 2 12
Cartesian
0.0000 0.0000 0.0000
1.2916 2.2724 2.3587
3.4515 3.7204 4.7621
0.3151 2.9255 5.6231
3.8028 0.0613 2.4791
2.1499 4.7902 0.8065
5.2232 1.3521 3.9977
0.2588 4.1084 0.8262
0.7660 1.3556 4.6797
1.1791 4.5795 5.3401
2.1068 0.2332 1.3604
2.2736 2.9049 0.1334
2.5846 4.4541 2.6552
3.3339 1.6728 3.4044
3.9284 5.2660 0.3895
4.3714 5.8721 4.2682
5.0718 1.9716 5.9088
5.5497 0.8668 2.0659
5.7725 3.2654 3.9524
```

Largest 10 diffraction maxima, by angle, 15 to 90 degrees two-theta:
| 2θ/deg | I (rel.) |
| --- | --- |
| 19.10 | 100 |
| 19.19 | 49 |
| 33.34 | 14 |
| 33.51 | 28 |
| 40.79 | 7 |
| 41.15 | 9 |
| 41.55 | 10 |
| 45.29 | 7 |
| 46.31 | 8 |
| 52.28 | 7 |

=====

The following is a calculated powder diffractogram of Ca3CoRhO6. It was derived from a DFT-relaxed cell (GGA+U, the Materials Project), using a wavelength of 1.5418 Å.

```
Ca3CoRhO6
1.0
6.4108 0.0000 0.0000
-0.2226 6.4755 0.0000
-0.2139 -0.1661 6.5006
Ca Co Rh O
6 2 2 12
Cartesian
0.6029 1.5395 2.5170
1.3804 0.5881 5.7683
2.1598 3.8559 4.8823
3.8146 2.4534 1.6182
4.5939 5.7212 0.7323
5.3714 4.7698 3.9835
1.4046 4.7600 1.6520
4.5698 1.5494 4.8486
-0.1113 3.2378 0.0000
3.0985 -0.0831 3.2503
-0.0062 2.5161 4.5608
0.1807 4.9921 6.2008
0.9831 5.8307 3.5868
1.7901 2.9118 0.5658
2.5705 0.2344 1.3277
2.7732 1.8389 3.8504
3.2012 4.4705 2.6502
3.4039 6.0750 5.1728
4.1843 3.3976 5.9348
4.9912 0.4787 2.9138
5.7937 1.3172 0.2998
5.9806 3.7932 1.9398
```

Largest 10 diffraction maxima, by angle, 15 to 90 degrees two-theta:
| 2θ/deg | I (rel.) |
| --- | --- |
| 19.12 | 98 |
| 19.81 | 17 |
| 33.44 | 100 |
| 39.80 | 14 |
| 40.20 | 13 |
| 40.31 | 12 |
| 44.59 | 20 |
| 45.18 | 19 |
| 46.31 | 10 |
| 59.74 | 11 |